This entry pairs a crystal structure of Fe2BiCl2O2 with its calculated X-ray diffraction stick pattern. Radiation: Cu Kα. Structure: DFT lattice parameters and positions (PBE+U).
Intensities are scaled so that the largest is 100.

```
Fe2BiCl2O2
1.0
3.600 0.000 0.000
1.784 6.183 0.000
1.799 0.598 6.298
Fe Bi Cl O
2 1 2 2
Direct
0.180 0.200 0.441
0.820 0.800 0.559
0.000 0.000 0.000
0.086 0.598 0.240
0.914 0.402 0.760
0.229 0.887 0.655
0.771 0.113 0.345
```

Principal peaks in the range 5° ≤ 2θ ≤ 70°, sorted by position:
Position (°2θ)  I/Imax
14.39  82
21.11  23
26.57  100
30.65  49
33.14  31
33.43  29
33.60  44
34.04  23
40.78  33
47.77  30